Mg14CdSb: computed XRD peak list (copper Kα), based on a cell relaxed with GGA-PBE.

Largest 6 diffraction maxima, sorted by position, 10 to 90 degrees two-theta:
two_theta, d [Å], I/Imax, hkl
15.98, 5.544, 470, 1 0 0
23.64, 3.763, 398, 1 0 2
32.29, 2.772, 300, 2 0 0
35.02, 2.562, 249, 0 0 4
36.86, 2.438, 1000, 2 0 2
69.21, 1.357, 188, 2 2 4

Structure:
Unit cell a=6.4022 b=6.4022 c=10.2496 alpha=90.00 beta=90.00 gamma=120.00
Element x y z (fractional)
1 Mg 0.0000 0.0000 0.2463
2 Mg 0.0000 0.0000 0.7537
3 Mg 0.3317 0.1658 0.5000
4 Mg 0.3331 0.1666 0.0000
5 Mg 0.5018 0.0035 0.2512
6 Mg 0.5018 0.0035 0.7488
7 Mg 0.5018 0.4982 0.2512
8 Mg 0.5018 0.4982 0.7488
9 Mg 0.8334 0.1666 0.0000
10 Mg 0.8334 0.6669 0.0000
11 Mg 0.8342 0.1658 0.5000
12 Mg 0.8342 0.6683 0.5000
13 Mg 0.9965 0.4982 0.2512
14 Mg 0.9965 0.4982 0.7488
15 Cd 0.3333 0.6667 0.5000
16 Sb 0.3333 0.6667 0.0000